Record 1
# ErAl7Pd5
Theoretical X-ray powder pattern, Cu Ka. Input: a cell relaxed with PBE.

Cell and atoms:
```
ErAl7Pd5
1.0
-2.708 4.534 4.336
2.708 -4.534 4.336
2.708 4.534 -4.336
Er Al Pd
1 7 5
Cartesian
0.000 0.000 0.000
2.708 1.893 -0.085
2.708 0.000 1.994
0.000 0.000 3.088
0.000 3.158 0.127
0.000 0.000 5.710
0.000 5.911 0.127
0.000 2.641 4.251
1.361 -2.100 2.138
4.055 -2.100 2.138
1.361 2.100 2.138
4.055 2.100 2.138
0.000 4.534 2.443
```

Top 12 peaks for 10° ≤ 2θ ≤ 90°, in order of rising 2θ:
two_theta, d/Å, I_rel
14.13, 6.267, 47
20.48, 4.336, 48
28.14, 3.171, 50
28.48, 3.134, 66
38.73, 2.325, 100
39.23, 2.297, 61
39.76, 2.267, 49
39.99, 2.255, 48
40.59, 2.223, 36
41.66, 2.168, 46
44.21, 2.049, 58
58.19, 1.585, 40

---

Record 2
# Y3N2O
Theoretical X-ray powder pattern, Cu Ka. Input: a cell relaxed with PBE.

Cell and atoms:
```
Y3N2O
1.0
6.902 0.000 0.000
0.000 4.897 0.000
0.000 0.000 10.357
Y N O
12 8 4
Cartesian
0.838 1.224 0.887
0.862 1.224 7.761
0.891 1.224 4.287
2.560 3.672 9.465
2.589 3.672 2.582
2.613 3.672 6.066
4.289 1.224 4.291
4.313 1.224 7.775
4.342 1.224 0.892
6.012 3.672 6.071
6.040 3.672 2.596
6.064 3.672 9.470
0.860 3.672 7.771
0.887 3.672 0.862
2.565 1.224 6.041
2.591 1.224 2.593
4.311 3.672 7.765
4.338 3.672 4.317
6.016 1.224 9.495
6.043 1.224 2.586
0.852 3.672 4.304
2.599 1.224 9.482
4.304 3.672 0.875
6.050 1.224 6.054
```

Top 12 peaks for 10° ≤ 2θ ≤ 90°, in order of rising 2θ:
two_theta, d/Å, I_rel
31.72, 2.821, 100
36.71, 2.448, 32
36.82, 2.441, 64
53.00, 1.728, 63
62.99, 1.476, 14
63.15, 1.472, 29
66.26, 1.411, 20
78.35, 1.220, 6
86.85, 1.122, 12
89.58, 1.094, 9
89.79, 1.092, 9
89.86, 1.092, 9

---

Record 3
# Sm3B2N6
Theoretical X-ray powder pattern, Cu Ka. Input: a cell relaxed with PBE.

Cell and atoms:
```
Sm3B2N6
1.0
-1.780 1.780 9.882
1.780 -1.780 9.882
1.780 1.780 -9.882
Sm B N
3 2 6
Cartesian
0.000 0.000 0.000
0.000 0.000 3.558
0.000 0.000 16.206
0.000 0.000 7.518
0.000 0.000 12.246
1.780 0.000 1.741
0.000 0.000 6.052
1.780 0.000 8.141
0.000 1.780 1.741
0.000 0.000 13.712
0.000 1.780 8.141
```

Top 12 peaks for 10° ≤ 2θ ≤ 90°, in order of rising 2θ:
two_theta, d/Å, I_rel
25.42, 3.504, 94
27.07, 3.294, 42
28.50, 3.132, 12
33.89, 2.645, 100
35.66, 2.517, 58
45.34, 2.000, 68
51.33, 1.780, 30
57.45, 1.604, 30
58.12, 1.587, 20
58.98, 1.566, 20
62.93, 1.477, 34
80.62, 1.192, 22

---

What did the third record say?
# Sm3B2N6
Theoretical X-ray powder pattern, Cu Ka. Input: a cell relaxed with PBE.

Cell and atoms:
```
Sm3B2N6
1.0
-1.780 1.780 9.882
1.780 -1.780 9.882
1.780 1.780 -9.882
Sm B N
3 2 6
Cartesian
0.000 0.000 0.000
0.000 0.000 3.558
0.000 0.000 16.206
0.000 0.000 7.518
0.000 0.000 12.246
1.780 0.000 1.741
0.000 0.000 6.052
1.780 0.000 8.141
0.000 1.780 1.741
0.000 0.000 13.712
0.000 1.780 8.141
```

Top 12 peaks for 10° ≤ 2θ ≤ 90°, in order of rising 2θ:
two_theta, d/Å, I_rel
25.42, 3.504, 94
27.07, 3.294, 42
28.50, 3.132, 12
33.89, 2.645, 100
35.66, 2.517, 58
45.34, 2.000, 68
51.33, 1.780, 30
57.45, 1.604, 30
58.12, 1.587, 20
58.98, 1.566, 20
62.93, 1.477, 34
80.62, 1.192, 22